For EuMgFeO3, a crystal structure in the Materials Project, relaxed with PBE+U gives the computed powder XRD pattern in this record (Cu Kα X-rays).
Lines closer than 0.1° are merged.

Main lines, in order of rising 2θ (2θ from 10° to 90°):
2θ (°)	intensity	(hkl)
24.4	88	0 0 2
25.9	100	1 0 1
32.4	48	1 1 0
41.0	51	1 1 2
46.5	29	2 0 0
53.3	37	2 0 2

```
EuMgFeO3
1.0
3.902 0.000 0.000
0.000 3.902 0.000
0.000 0.000 7.281
Eu Mg Fe O
1 1 1 3
direct
0.000 0.000 0.000
0.000 0.000 0.500
0.500 0.500 0.500
0.000 0.500 0.500
0.500 0.000 0.500
0.500 0.500 0.000
```